Sr6MgTe8O22: computed powder diffractogram (Cu Kα X-rays), based on a PBE-relaxed structure.

The 8 most intense peaks (15° ≤ 2θ ≤ 90°), in order of rising 2θ:
hkl  d [Å]  I/Imax
1 0 -2  4.684  658
2 -1 0  3.627  272
1 0 2  3.353  470
2 -2 0  3.267  595
1 1 -3  3.257  1000
0 3 -1  3.204  860
-1 2 2  3.150  865
1 1 2  2.862  288

Cell and atoms:
abc: 7.6352 9.8379 10.0569
angles: 101.33 107.23 101.74
Fractional positions:
Sr 0.0000 0.0000 0.0000
Sr 0.0114 0.4945 0.3593
Sr 0.3610 0.3953 0.1192
Sr 0.4593 0.9170 0.6137
Sr 0.5475 0.0429 0.0610
Sr 0.8017 0.8396 0.3655
Mg 0.0457 0.9959 0.6990
Te 0.0916 0.7051 0.7403
Te 0.1600 0.7214 0.1647
Te 0.2718 0.1294 0.3450
Te 0.2752 0.2637 0.6938
Te 0.5580 0.5703 0.4873
Te 0.5974 0.6999 0.9269
Te 0.7560 0.1853 0.4967
Te 0.7698 0.3278 0.9292
O 0.0389 0.3087 0.5788
O 0.0515 0.7366 0.3108
O 0.0924 0.5156 0.1105
O 0.1784 0.2088 0.8370
O 0.1935 0.0651 0.5781
O 0.2070 0.9094 0.8517
O 0.2186 0.6880 0.6053
O 0.3153 0.4436 0.3667
O 0.3256 0.1545 0.1665
O 0.3263 0.6430 0.8865
O 0.4673 0.0286 0.4024
O 0.5086 0.7322 0.4248
O 0.5415 0.1817 0.7898
O 0.6383 0.8667 0.8557
O 0.6439 0.8167 0.1130
O 0.6449 0.4046 0.0476
O 0.6846 0.5141 0.3583
O 0.7846 0.1079 0.3210
O 0.8032 0.0416 0.5949
O 0.8537 0.1994 0.0353
O 0.9046 0.7856 0.6181
O 0.9660 0.7529 0.0139